Diffraction record for Ti3Nb2V3O16. The X-ray diffraction stick pattern is computed, not measured: it uses a DFT-relaxed cell (GGA+U, Alexandria) and a wavelength of 1.5418 Å.
Intensities are scaled so that the largest is 100.

Crystal structure
Unit cell a=5.993 b=6.018 c=9.413 alpha=90.35 beta=90.13 gamma=119.45
Space group P1 (No. 1)
One atom of each set of equivalent atoms:
Ti (0.000, 0.000, 0.000) x1
Ti (0.042, 0.509, 0.994) x1
Ti (0.190, 0.781, 0.492) x1
Nb (0.180, 0.287, 0.716) x1
Nb (0.523, 0.006, 0.218) x1
V (0.510, 0.483, 0.003) x1
V (0.675, 0.288, 0.512) x1
V (0.676, 0.796, 0.494) x1
O (0.011, 0.975, 0.613) x1
O (0.015, 0.461, 0.614) x1
O (0.169, 0.314, 0.108) x1
O (0.194, 0.823, 0.114) x1
O (0.310, 0.162, 0.877) x1
O (0.316, 0.601, 0.875) x1
O (0.358, 0.097, 0.382) x1
O (0.362, 0.668, 0.375) x1
O (0.498, 0.928, 0.607) x1
O (0.501, 0.457, 0.615) x1
O (0.678, 0.829, 0.114) x1
O (0.681, 0.315, 0.117) x1
O (0.791, 0.099, 0.379) x1
O (0.840, 0.638, 0.411) x1
O (0.853, 0.655, 0.912) x1
O (0.887, 0.173, 0.879) x1

Top 12 peaks for 10° ≤ 2θ ≤ 80°, by angle:
| d (Å) | I/Imax |
| --- | --- |
| 4.707 | 33.0 |
| 4.584 | 63.8 |
| 4.553 | 100.0 |
| 4.538 | 35.9 |
| 3.513 | 21.7 |
| 3.486 | 40.9 |
| 2.684 | 43.2 |
| 2.539 | 27.3 |
| 2.528 | 54.0 |
| 2.518 | 21.8 |
| 2.001 | 26.3 |
| 1.522 | 25.2 |